# SrAl4Au4
Theoretical powder diffraction line list, Cu Kα, 1.54184 Å. Input: a DFT-relaxed cell (GGA-PBE, Alexandria).

Most intense lines, 2θ = 10–90°, sorted by position:
20.00°, intensity 41
28.44°, intensity 20
29.09°, intensity 100
31.88°, intensity 33
37.16°, intensity 27
43.24°, intensity 15
46.15°, intensity 61
49.75°, intensity 19
73.33°, intensity 16
73.49°, intensity 13

Atomic structure:
```
SrAl4Au4
1.0
-4.4387 4.4387 2.4197
4.4387 -4.4387 2.4197
4.4387 4.4387 -2.4197
Sr Al Au
1 4 4
Direct
0.0000 0.0000 0.0000
0.1113 0.6094 0.7207
0.3906 0.1113 0.5019
0.6094 0.8887 0.4981
0.8887 0.3906 0.2793
0.1916 0.3274 0.5190
0.3274 0.8084 0.1358
0.6726 0.1916 0.8642
0.8084 0.6726 0.4810
```

---

# Dy11Tl4Cd9
Theoretical powder diffraction line list, Cu Kα, 1.54184 Å. Input: a DFT-relaxed cell (GGA-PBE, Alexandria).

Most intense lines, 2θ = 10–90°, sorted by position:
32.07°, intensity 13
33.30°, intensity 100
33.47°, intensity 93
34.40°, intensity 88
46.39°, intensity 14
49.20°, intensity 21
59.02°, intensity 19
60.82°, intensity 33
61.14°, intensity 19
62.66°, intensity 13

Atomic structure:
```
Dy11Tl4Cd9
1.0
7.8286 -11.0082 0.0000
7.8286 11.0082 0.0000
0.0000 0.0000 3.7041
Dy Tl Cd
11 4 9
Direct
0.0000 0.0000 0.0000
0.0625 0.4066 0.0000
0.1764 0.8236 0.0000
0.2364 0.2364 0.0000
0.3549 0.6451 0.0000
0.4066 0.0625 0.0000
0.5934 0.9375 0.0000
0.6451 0.3549 0.0000
0.7636 0.7636 0.0000
0.8236 0.1764 0.0000
0.9375 0.5934 0.0000
0.2642 0.4394 0.5000
0.4394 0.2642 0.5000
0.5606 0.7358 0.5000
0.7358 0.5606 0.5000
0.0258 0.1988 0.5000
0.1452 0.6200 0.5000
0.1988 0.0258 0.5000
0.3800 0.8548 0.5000
0.5000 0.5000 0.5000
0.6200 0.1452 0.5000
0.8012 0.9742 0.5000
0.8548 0.3800 0.5000
0.9742 0.8012 0.5000
```

---

# InC2
Theoretical powder diffraction line list, Cu Kα, 1.54184 Å. Input: a DFT-relaxed cell (GGA-PBE, Alexandria).

Most intense lines, 2θ = 10–90°, sorted by position:
14.03°, intensity 100
21.43°, intensity 13
27.41°, intensity 20
28.31°, intensity 49
33.34°, intensity 13
33.90°, intensity 12
36.49°, intensity 21
42.38°, intensity 15
44.25°, intensity 16
52.14°, intensity 19

Atomic structure:
```
InC2
1.0
12.8661 0.0000 0.0000
0.0000 2.5788 0.0000
-5.1442 0.0000 6.5077
In C
4 8
Direct
0.1471 0.0000 0.2361
0.3529 0.5000 0.7639
0.6471 0.5000 0.2361
0.8529 0.0000 0.7639
0.0430 0.5000 0.4697
0.0830 0.0000 0.4417
0.4170 0.5000 0.5583
0.4570 0.0000 0.5303
0.5430 0.0000 0.4697
0.5830 0.5000 0.4417
0.9170 0.0000 0.5583
0.9570 0.5000 0.5303
```

---

# CsAg2As2
Theoretical powder diffraction line list, Cu Kα, 1.54184 Å. Input: a DFT-relaxed cell (GGA-PBE, Alexandria).

Most intense lines, 2θ = 10–90°, sorted by position:
30.84°, intensity 100
31.16°, intensity 37
36.75°, intensity 60
42.90°, intensity 18
46.56°, intensity 16
48.93°, intensity 20
52.95°, intensity 20
58.51°, intensity 11
60.73°, intensity 14
62.54°, intensity 25

Atomic structure:
```
CsAg2As2
1.0
4.8911 0.0000 0.0000
0.0000 4.8911 0.0000
0.0000 0.0000 10.6354
Cs Ag As
2 4 4
Direct
0.0000 0.0000 0.0000
0.5000 0.5000 0.5000
0.0000 0.5000 0.2500
0.0000 0.5000 0.7500
0.5000 0.0000 0.2500
0.5000 0.0000 0.7500
0.0000 0.0000 0.3814
0.0000 0.0000 0.6186
0.5000 0.5000 0.1186
0.5000 0.5000 0.8814
```

---

# CsMn2CrCl8
Theoretical powder diffraction line list, Cu Kα, 1.54184 Å. Input: a DFT-relaxed cell (GGA-PBE, Alexandria).

Most intense lines, 2θ = 10–90°, sorted by position:
18.85°, intensity 100
24.84°, intensity 37
26.54°, intensity 18
27.81°, intensity 16
28.93°, intensity 12
31.11°, intensity 12
38.24°, intensity 20
40.42°, intensity 28
45.40°, intensity 17
50.95°, intensity 16

Atomic structure:
```
CsMn2CrCl8
1.0
3.5845 2.0695 9.6237
-3.5845 2.0695 9.6237
0.0000 -4.1390 9.6237
Cs Mn Cr Cl
1 2 1 8
Direct
0.0000 0.0000 0.0000
0.2391 0.2391 0.2391
0.7609 0.7609 0.7609
0.5000 0.5000 0.5000
0.1438 0.6022 0.6022
0.3171 0.3171 0.3171
0.3978 0.3978 0.8562
0.3978 0.8562 0.3978
0.6022 0.1438 0.6022
0.6022 0.6022 0.1438
0.6829 0.6829 0.6829
0.8562 0.3978 0.3978
```

---

# Sr2Pd2Au15
Theoretical powder diffraction line list, Cu Kα, 1.54184 Å. Input: a DFT-relaxed cell (GGA-PBE, Alexandria).

Most intense lines, 2θ = 10–90°, sorted by position:
18.30°, intensity 49
37.10°, intensity 42
37.36°, intensity 90
38.16°, intensity 39
38.36°, intensity 16
41.91°, intensity 100
42.64°, intensity 25
66.87°, intensity 22
68.45°, intensity 17
79.68°, intensity 18

Atomic structure:
```
Sr2Pd2Au15
1.0
4.8471 2.7985 4.7163
-4.8471 2.7985 4.7163
0.0000 -5.5970 4.7163
Sr Pd Au
2 2 15
Direct
0.1673 0.1673 0.1673
0.8327 0.8327 0.8327
0.4020 0.4020 0.4020
0.5980 0.5980 0.5980
0.0000 0.5000 0.5000
0.1502 0.1502 0.6544
0.1502 0.6544 0.1502
0.1995 0.5000 0.8005
0.1995 0.8005 0.5000
0.3456 0.8498 0.8498
0.5000 0.0000 0.5000
0.5000 0.1995 0.8005
0.5000 0.5000 0.0000
0.5000 0.8005 0.1995
0.6544 0.1502 0.1502
0.8005 0.1995 0.5000
0.8005 0.5000 0.1995
0.8498 0.3456 0.8498
0.8498 0.8498 0.3456
```